Simulated powder X-ray diffraction pattern of Ba2Tl2Fe3O10 for Cu Ka, from the GGA+U geometry in Alexandria.

Top 10 peaks for 2θ = 5–70°, sorted by position:
two_theta, intensity, (hkl)
27.20, 92.3, 0 1 -3
28.32, 100.0, 1 0 -3
30.16, 43.4, 0 1 4
31.18, 29.2, 1 0 4
33.54, 73.6, 1 1 0
33.90, 46.1, 1 -1 1
34.27, 38.8, 0 0 7
45.09, 30.2, 1 1 -6
46.74, 25.0, 0 2 0
48.71, 37.0, 1 1 7

Crystal structure
a b c (Å): 3.680 3.887 18.314
angles (deg): 89.98 89.98 89.98
Sites, in units of the cell vectors:
Ba  0.000  0.000  0.000
Ba  0.498  0.500  0.459
Tl  0.499  0.488  0.164
Tl  0.999  0.989  0.293
Fe  0.496  0.001  0.743
Fe  0.498  0.500  0.864
Fe  0.997  0.000  0.595
O  0.001  0.044  0.179
O  0.496  0.501  0.761
O  0.497  0.000  0.563
O  0.498  0.000  0.859
O  0.500  0.501  0.053
O  0.500  0.545  0.277
O  0.996  0.001  0.699
O  0.997  0.500  0.563
O  0.998  0.001  0.403
O  0.998  0.500  0.909